Theoretical X-ray powder pattern
Compound: Ru2Pt2W3
Radiation: Cu Kα
Structure: a DFT-relaxed cell (GGA-PBE, Alexandria)

Top 8 peaks for 2θ = 5–70°, sorted by position:
2theta, intensity
9.40, 12
39.65, 100
39.96, 97
43.64, 40
43.82, 48
51.12, 16
63.56, 32
69.43, 13

Crystal structure
Unit cell a=4.1485 b=18.8222 c=2.7459 alpha=90.00 beta=90.00 gamma=90.00
Space group Cmmm (No. 65)
Symmetry-distinct sites (fractional):
Ru  0.0000  0.2131  0.0000 (multiplicity 4)
Pt  0.0000  0.0720  0.0000 (multiplicity 4)
W  0.0000  0.3470  0.5000 (multiplicity 4)
W  0.0000  0.5000  0.5000 (multiplicity 2)


Theoretical X-ray powder pattern
Compound: Y2RuPt2
Radiation: Cu Kα
Structure: a DFT-relaxed cell (GGA-PBE, Alexandria)

Top 8 peaks for 2θ = 5–70°, sorted by position:
2theta, intensity
22.21, 23
27.77, 13
33.52, 11
35.84, 100
39.68, 34
45.31, 17
45.94, 16
61.77, 18

Crystal structure
Unit cell a=7.1833 b=7.1833 c=4.0033 alpha=90.00 beta=90.00 gamma=90.00
Space group P4/mbm (No. 127)
Symmetry-distinct sites (fractional):
Y  0.1763  0.3237  0.0000 (multiplicity 4)
Ru  0.0000  0.0000  0.5000 (multiplicity 2)
Pt  0.1324  0.6324  0.5000 (multiplicity 4)


Theoretical X-ray powder pattern
Compound: PtS8
Radiation: Cu Kα
Structure: a DFT-relaxed cell (GGA-PBE, Alexandria)

Top 8 peaks for 2θ = 5–70°, sorted by position:
2theta, intensity
16.22, 68
17.58, 39
20.89, 100
27.43, 27
29.91, 31
39.34, 68
50.07, 33
59.07, 19

Crystal structure
Unit cell a=7.1347 b=7.1347 c=8.5037 alpha=90.00 beta=90.00 gamma=90.00
Space group I4/mmm (No. 139)
Symmetry-distinct sites (fractional):
Pt  0.0000  0.0000  0.0000 (multiplicity 2)
S  0.0000  0.3229  0.0000 (multiplicity 8)
S  0.1545  0.1545  0.5000 (multiplicity 8)


Theoretical X-ray powder pattern
Compound: PtS
Radiation: Cu Kα
Structure: a DFT-relaxed cell (GGA-PBE, Alexandria)

Top 8 peaks for 2θ = 5–70°, sorted by position:
2theta, intensity
25.22, 2
29.19, 100
35.97, 17
38.94, 1
46.96, 32
51.76, 30
60.54, 34
66.63, 1

Crystal structure
Unit cell a=3.5313 b=3.5313 c=6.1211 alpha=90.00 beta=90.00 gamma=90.00
Space group P4_2/mmc (No. 131)
Symmetry-distinct sites (fractional):
Pt  0.0000  0.5000  0.0000 (multiplicity 2)
S  0.0000  0.0000  0.2500 (multiplicity 2)


Theoretical X-ray powder pattern
Compound: SbPt2S4
Radiation: Cu Kα
Structure: a DFT-relaxed cell (GGA-PBE, Alexandria)

Top 8 peaks for 2θ = 5–70°, sorted by position:
2theta, intensity
15.03, 19
26.03, 27
30.35, 100
40.17, 15
46.19, 12
48.76, 24
48.98, 13
63.21, 14

Crystal structure
Unit cell a=6.7894 b=6.7894 c=11.8935 alpha=90.00 beta=90.00 gamma=90.00
Space group I4_1/a (No. 88, origin choice 2)
Symmetry-distinct sites (fractional):
Sb  0.0000  0.2500  0.1250 (multiplicity 4)
Pt  0.0000  0.0000  0.5000 (multiplicity 8)
S  0.1527  0.4515  0.3260 (multiplicity 16)


Theoretical X-ray powder pattern
Compound: SbPt2S6
Radiation: Cu Kα
Structure: a DFT-relaxed cell (GGA-PBE, Alexandria)

Top 8 peaks for 2θ = 5–70°, sorted by position:
2theta, intensity
14.40, 100
28.66, 15
28.97, 38
30.08, 16
34.19, 19
34.76, 38
45.15, 13
48.85, 13

Crystal structure
Unit cell a=12.4430 b=3.6091 c=10.4965 alpha=90.00 beta=117.10 gamma=90.00
Space group C2/m (No. 12)
Symmetry-distinct sites (fractional):
Sb  0.0000  0.0000  0.0000 (multiplicity 2)
Pt  0.1698  0.5000  0.3379 (multiplicity 4)
S  0.0248  0.0000  0.2654 (multiplicity 4)
S  0.1735  0.5000  0.1098 (multiplicity 4)
S  0.1864  0.5000  0.5742 (multiplicity 4)